# PrTh2UN4
Calculated XRD peak list, copper Kα. Input: a cell relaxed with GGA-PBE.
No peak broadening, texture or thermal motion is included.

Structural model:
```
PrTh2UN4
1.0
5.116 0.000 0.000
0.000 5.116 0.000
0.000 0.000 10.169
Pr Th U N
2 4 2 8
Direct
0.000 0.000 0.000
0.500 0.500 0.500
0.000 0.000 0.500
0.000 0.500 0.250
0.500 0.000 0.750
0.500 0.500 0.000
0.000 0.500 0.750
0.500 0.000 0.250
0.000 0.000 0.255
0.000 0.000 0.745
0.000 0.500 0.520
0.000 0.500 0.980
0.500 0.000 0.020
0.500 0.000 0.480
0.500 0.500 0.245
0.500 0.500 0.755
```

Top 10 peaks for 2θ = 10–90°, sorted by position:
30.3°, rel. 100, hkl 1 1 2
35.1°, rel. 45, hkl 2 0 0
35.3°, rel. 22, hkl 0 0 4
50.5°, rel. 16, hkl 2 2 0
50.6°, rel. 32, hkl 2 0 4
60.0°, rel. 31, hkl 3 1 2
60.3°, rel. 16, hkl 1 1 6
63.1°, rel. 16, hkl 2 2 4
82.4°, rel. 14, hkl 3 1 6
84.7°, rel. 7, hkl 4 2 0